No. 1
HfU2Mo: simulated X-ray diffraction stick pattern (Cu Kα (λ = 1.5418 Å)), based on a DFT-relaxed cell (GGA-PBE, Alexandria).
Kinematic intensities with the Lorentz-polarization factor, no thermal factor.

Cell lengths 3.1075, 3.1075, 29.5512 Å; angles 90.00, 90.00, 120.00 degrees
Space group R-3m (No. 166, hexagonal axes)
Unique sites:
Hf: 0.0000 0.0000 0.0000
U: 0.0000 0.0000 0.2431
Mo: 0.0000 0.0000 0.5000

Largest 6 diffraction maxima, in order of falling intensity, 5° ≤ 2θ ≤ 70°:
| Position (°2θ) | d [Å] | I/Imax | index |
| --- | --- | --- | --- |
| 35.50 | 2.529 | 100 | 1 0 4 |
| 41.52 | 2.175 | 62 | 0 1 8 |
| 36.49 | 2.463 | 27 | 0 0 12 |
| 59.49 | 1.554 | 23 | 1 1 0 |
| 60.83 | 1.523 | 16 | 1 0 16 |
| 18.01 | 4.925 | 8 | 0 0 6 |

***

No. 2
HfMo8W4: simulated X-ray diffraction stick pattern (Cu Kα (λ = 1.5418 Å)), based on a DFT-relaxed cell (GGA-PBE, Alexandria).
Kinematic intensities with the Lorentz-polarization factor, no thermal factor.

Cell lengths 8.8765, 6.2586, 8.7290 Å; angles 90.00, 90.20, 90.00 degrees
Space group C2/m (No. 12)
Unique sites:
Hf: 0.0000 0.0000 0.0000
Mo: 0.0010 0.2575 0.7509
Mo: 0.2451 0.0000 0.2404
Mo: 0.2468 0.0000 0.7601
W: 0.0000 0.0000 0.5000
W: 0.0000 0.5000 0.5000
W: 0.2500 0.2500 0.5000

Largest 6 diffraction maxima, in order of falling intensity, 5° ≤ 2θ ≤ 70°:
| Position (°2θ) | d [Å] | I/Imax | index |
| --- | --- | --- | --- |
| 40.90 | 2.207 | 100 | 2 2 2 |
| 10.13 | 8.729 | 67 | 0 0 1 |
| 40.66 | 2.219 | 26 | 4 0 0 |
| 41.38 | 2.182 | 24 | 0 0 4 |
| 36.61 | 2.454 | 16 | 2 2 1 |
| 59.04 | 1.565 | 8 | 0 4 0 |

***

What did the first record say?
HfU2Mo: simulated X-ray diffraction stick pattern (Cu Kα (λ = 1.5418 Å)), based on a DFT-relaxed cell (GGA-PBE, Alexandria).
Kinematic intensities with the Lorentz-polarization factor, no thermal factor.

Cell lengths 3.1075, 3.1075, 29.5512 Å; angles 90.00, 90.00, 120.00 degrees
Space group R-3m (No. 166, hexagonal axes)
Unique sites:
Hf: 0.0000 0.0000 0.0000
U: 0.0000 0.0000 0.2431
Mo: 0.0000 0.0000 0.5000

Largest 6 diffraction maxima, in order of falling intensity, 5° ≤ 2θ ≤ 70°:
| Position (°2θ) | d [Å] | I/Imax | index |
| --- | --- | --- | --- |
| 35.50 | 2.529 | 100 | 1 0 4 |
| 41.52 | 2.175 | 62 | 0 1 8 |
| 36.49 | 2.463 | 27 | 0 0 12 |
| 59.49 | 1.554 | 23 | 1 1 0 |
| 60.83 | 1.523 | 16 | 1 0 16 |
| 18.01 | 4.925 | 8 | 0 0 6 |